Structure and simulated X-ray diffraction stick pattern of PuFeBi2O8 (a PBE+U-relaxed structure; Cu Kα X-rays).

Crystal structure
a = 5.104 Å, b = 6.797 Å, c = 5.112 Å
α = 90.00°, β = 91.88°, γ = 90.00°
Space group P2/m (No. 10)
Asymmetric unit:
Pu  0.000  0.000  0.000 (multiplicity 1)
Fe  0.000  0.500  0.000 (multiplicity 1)
Bi  0.500  0.262  0.500 (multiplicity 2)
O  0.177  0.239  0.824 (multiplicity 4)
O  0.275  0.500  0.276 (multiplicity 2)
O  0.281  0.000  0.283 (multiplicity 2)

The 10 most intense peaks (10 to 80 degrees two-theta), in order of falling intensity:
| 2θ (°) | I/Imax | (hkl) |
| --- | --- | --- |
| 31.6 | 100 | 1 2 0 |
| 24.2 | 60 | 1 0 -1 |
| 25.1 | 52 | 1 0 1 |
| 47.6 | 45 | 2 2 -1 |
| 48.5 | 36 | 2 2 1 |
| 35.2 | 32 | 0 0 2 |
| 21.8 | 24 | 1 1 0 |
| 60.9 | 22 | 0 2 3 |
| 57.7 | 11 | 1 0 3 |
| 71.2 | 11 | 3 2 -2 |